No. 1
For Pr4Nd5Sm2, the PBE geometry in Alexandria gives the calculated powder X-ray diffraction pattern in this record (a wavelength of 1.5418 Å).
Peak positions follow from Bragg's law for the DFT cell and can differ from measured ones.

Cell and atoms:
Cell lengths 12.833, 12.833, 12.833 Å; angles 163.97, 136.36, 46.78 degrees
Positions (direct):
Pr  0.096  0.096  0.000
Pr  0.204  0.500  0.704
Pr  0.796  0.500  0.296
Pr  0.904  0.904  0.000
Nd  0.150  0.351  0.799
Nd  0.448  0.649  0.799
Nd  0.500  0.000  0.500
Nd  0.552  0.351  0.201
Nd  0.850  0.649  0.201
Sm  0.230  0.230  0.000
Sm  0.770  0.770  0.000

Top 12 peaks for 10 to 90 degrees two-theta, low angle first:
- 2θ = 26.6°, rel. 24
- 2θ = 27.7°, rel. 34
- 2θ = 28.1°, rel. 27
- 2θ = 29.5°, rel. 58
- 2θ = 30.3°, rel. 79
- 2θ = 31.5°, rel. 100
- 2θ = 35.2°, rel. 26
- 2θ = 36.7°, rel. 47
- 2θ = 44.6°, rel. 25
- 2θ = 51.0°, rel. 18
- 2θ = 60.0°, rel. 23
- 2θ = 60.5°, rel. 44



No. 2
For Pr5Nd2Sm, the PBE geometry in Alexandria gives the calculated powder X-ray diffraction pattern in this record (a wavelength of 1.5418 Å).
Peak positions follow from Bragg's law for the DFT cell and can differ from measured ones.

Cell and atoms:
Cell lengths 9.178, 12.126, 10.301 Å; angles 90.00, 90.06, 90.00 degrees
Positions (direct):
Pr  0.055  0.000  0.482
Pr  0.056  0.393  0.016
Pr  0.110  0.275  0.403
Pr  0.223  0.894  0.754
Pr  0.224  0.499  0.747
Pr  0.276  0.893  0.252
Pr  0.277  0.499  0.246
Pr  0.391  0.118  0.598
Pr  0.444  0.000  0.984
Pr  0.445  0.393  0.518
Pr  0.555  0.893  0.482
Pr  0.556  0.500  0.016
Pr  0.609  0.618  0.402
Pr  0.723  0.999  0.754
Pr  0.724  0.393  0.748
Pr  0.776  0.999  0.253
Pr  0.777  0.394  0.246
Pr  0.890  0.775  0.597
Pr  0.944  0.893  0.984
Pr  0.945  0.500  0.518
Nd  0.054  0.195  0.751
Nd  0.109  0.120  0.100
Nd  0.391  0.273  0.901
Nd  0.446  0.198  0.250
Nd  0.554  0.698  0.750
Nd  0.609  0.773  0.099
Nd  0.891  0.620  0.900
Nd  0.946  0.695  0.249
Sm  0.250  0.696  0.000
Sm  0.250  0.696  0.500
Sm  0.750  0.196  0.000
Sm  0.750  0.196  0.500

Top 12 peaks for 10 to 90 degrees two-theta, low angle first:
- 2θ = 28.1°, rel. 14
- 2θ = 28.7°, rel. 32
- 2θ = 29.7°, rel. 66
- 2θ = 30.0°, rel. 100
- 2θ = 30.1°, rel. 54
- 2θ = 30.7°, rel. 25
- 2θ = 32.3°, rel. 38
- 2θ = 32.6°, rel. 26
- 2θ = 34.8°, rel. 17
- 2θ = 58.0°, rel. 29
- 2θ = 59.5°, rel. 16
- 2θ = 60.5°, rel. 31



No. 3
For Pr4Nd5Sm2, the PBE geometry in Alexandria gives the calculated powder X-ray diffraction pattern in this record (a wavelength of 1.5418 Å).
Peak positions follow from Bragg's law for the DFT cell and can differ from measured ones.

Cell and atoms:
Cell lengths 12.423, 12.423, 9.043 Å; angles 96.76, 96.76, 16.37 degrees
Positions (direct):
Pr  0.046  0.046  0.361
Pr  0.322  0.322  0.529
Pr  0.678  0.678  0.471
Pr  0.954  0.954  0.639
Nd  0.141  0.141  0.113
Nd  0.231  0.231  0.825
Nd  0.500  0.500  0.000
Nd  0.769  0.769  0.175
Nd  0.859  0.859  0.887
Sm  0.090  0.090  0.733
Sm  0.910  0.910  0.267

Top 12 peaks for 10 to 90 degrees two-theta, low angle first:
- 2θ = 25.4°, rel. 15
- 2θ = 28.8°, rel. 16
- 2θ = 29.8°, rel. 100
- 2θ = 29.9°, rel. 55
- 2θ = 31.4°, rel. 48
- 2θ = 32.7°, rel. 12
- 2θ = 36.0°, rel. 26
- 2θ = 38.4°, rel. 13
- 2θ = 51.7°, rel. 12
- 2θ = 54.8°, rel. 18
- 2θ = 60.8°, rel. 29
- 2θ = 61.7°, rel. 14



No. 4
For PrNd8Sm3, the PBE geometry in Alexandria gives the calculated powder X-ray diffraction pattern in this record (a wavelength of 1.5418 Å).
Peak positions follow from Bragg's law for the DFT cell and can differ from measured ones.

Cell and atoms:
Cell lengths 6.351, 6.373, 11.008 Å; angles 73.26, 89.97, 80.60 degrees
Positions (direct):
Pr  0.000  0.000  0.000
Nd  0.000  0.000  0.334
Nd  0.000  0.000  0.666
Nd  0.250  0.500  0.917
Nd  0.251  0.500  0.583
Nd  0.499  0.999  0.168
Nd  0.501  0.001  0.832
Nd  0.749  0.500  0.417
Nd  0.750  0.500  0.083
Sm  0.250  0.499  0.251
Sm  0.500  0.000  0.500
Sm  0.750  0.501  0.749

Top 12 peaks for 10 to 90 degrees two-theta, low angle first:
- 2θ = 29.8°, rel. 100
- 2θ = 29.9°, rel. 33
- 2θ = 34.5°, rel. 67
- 2θ = 49.5°, rel. 16
- 2θ = 49.7°, rel. 32
- 2θ = 58.9°, rel. 29
- 2θ = 59.1°, rel. 24
- 2θ = 61.9°, rel. 8
- 2θ = 72.9°, rel. 5
- 2θ = 80.5°, rel. 6
- 2θ = 80.7°, rel. 12
- 2θ = 83.2°, rel. 11



No. 5
For Pr3Nd8Sm2, the PBE geometry in Alexandria gives the calculated powder X-ray diffraction pattern in this record (a wavelength of 1.5418 Å).
Peak positions follow from Bragg's law for the DFT cell and can differ from measured ones.

Cell and atoms:
Cell lengths 8.988, 8.988, 6.286 Å; angles 107.21, 107.21, 83.53 degrees
Positions (direct):
Pr  0.000  0.000  0.000
Pr  0.242  0.758  0.500
Pr  0.758  0.242  0.500
Nd  0.082  0.570  0.824
Nd  0.156  0.156  0.550
Nd  0.430  0.918  0.176
Nd  0.444  0.444  0.717
Nd  0.556  0.556  0.283
Nd  0.570  0.082  0.824
Nd  0.844  0.844  0.450
Nd  0.918  0.430  0.176
Sm  0.289  0.289  0.146
Sm  0.711  0.711  0.854

Top 12 peaks for 10 to 90 degrees two-theta, low angle first:
- 2θ = 25.0°, rel. 16
- 2θ = 29.2°, rel. 28
- 2θ = 29.8°, rel. 90
- 2θ = 30.8°, rel. 100
- 2θ = 32.3°, rel. 52
- 2θ = 36.7°, rel. 18
- 2θ = 38.8°, rel. 17
- 2θ = 49.7°, rel. 11
- 2θ = 52.6°, rel. 16
- 2θ = 53.6°, rel. 21
- 2θ = 62.0°, rel. 15
- 2θ = 64.2°, rel. 15



No. 6
For Pr3Nd8Sm4, the PBE geometry in Alexandria gives the calculated powder X-ray diffraction pattern in this record (a wavelength of 1.5418 Å).
Peak positions follow from Bragg's law for the DFT cell and can differ from measured ones.

Cell and atoms:
Cell lengths 9.423, 9.423, 6.975 Å; angles 111.70, 111.70, 82.11 degrees
Positions (direct):
Pr  0.000  0.000  0.000
Pr  0.000  0.500  0.500
Pr  0.500  0.000  0.500
Nd  0.203  0.797  0.500
Nd  0.204  0.204  0.705
Nd  0.253  0.253  0.251
Nd  0.253  0.747  0.000
Nd  0.747  0.253  0.000
Nd  0.747  0.747  0.749
Nd  0.796  0.796  0.295
Nd  0.797  0.203  0.500
Sm  0.000  0.500  0.000
Sm  0.500  0.000  0.000
Sm  0.500  0.500  0.000
Sm  0.500  0.500  0.500

Top 12 peaks for 10 to 90 degrees two-theta, low angle first:
- 2θ = 25.5°, rel. 17
- 2θ = 28.8°, rel. 100
- 2θ = 29.4°, rel. 55
- 2θ = 32.8°, rel. 51
- 2θ = 38.6°, rel. 15
- 2θ = 38.9°, rel. 16
- 2θ = 41.2°, rel. 33
- 2θ = 41.7°, rel. 30
- 2θ = 51.5°, rel. 19
- 2θ = 53.7°, rel. 14
- 2θ = 60.1°, rel. 18
- 2θ = 61.0°, rel. 24



No. 7
For PrNd12Sm5, the PBE geometry in Alexandria gives the calculated powder X-ray diffraction pattern in this record (a wavelength of 1.5418 Å).
Peak positions follow from Bragg's law for the DFT cell and can differ from measured ones.

Cell and atoms:
Cell lengths 11.004, 11.004, 5.189 Å; angles 90.00, 90.00, 90.05 degrees
Positions (direct):
Pr  0.000  0.000  0.000
Nd  0.001  0.333  0.000
Nd  0.167  0.833  0.500
Nd  0.168  0.499  0.500
Nd  0.333  0.001  0.000
Nd  0.334  0.666  0.000
Nd  0.499  0.168  0.500
Nd  0.501  0.832  0.500
Nd  0.666  0.334  0.000
Nd  0.667  0.999  0.000
Nd  0.832  0.501  0.500
Nd  0.833  0.167  0.500
Nd  0.999  0.667  0.000
Sm  0.167  0.167  0.500
Sm  0.333  0.333  0.000
Sm  0.500  0.500  0.500
Sm  0.667  0.667  0.000
Sm  0.833  0.833  0.500

Top 8 peaks for 10 to 90 degrees two-theta, low angle first:
- 2θ = 29.8°, rel. 100
- 2θ = 34.6°, rel. 51
- 2θ = 49.7°, rel. 36
- 2θ = 59.1°, rel. 43
- 2θ = 62.0°, rel. 12
- 2θ = 72.9°, rel. 6
- 2θ = 80.7°, rel. 18
- 2θ = 83.3°, rel. 16



No. 8
For Pr8NdSm4, the PBE geometry in Alexandria gives the calculated powder X-ray diffraction pattern in this record (a wavelength of 1.5418 Å).
Peak positions follow from Bragg's law for the DFT cell and can differ from measured ones.

Cell and atoms:
Cell lengths 7.955, 7.955, 7.955 Å; angles 97.51, 97.51, 97.51 degrees
Positions (direct):
Pr  0.167  0.167  0.670
Pr  0.167  0.670  0.167
Pr  0.243  0.243  0.243
Pr  0.330  0.833  0.833
Pr  0.670  0.167  0.167
Pr  0.757  0.757  0.757
Pr  0.833  0.330  0.833
Pr  0.833  0.833  0.330
Nd  0.500  0.500  0.500
Sm  0.000  0.000  0.000
Sm  0.000  0.500  0.500
Sm  0.500  0.000  0.500
Sm  0.500  0.500  0.000

Top 12 peaks for 10 to 90 degrees two-theta, low angle first:
- 2θ = 22.5°, rel. 31
- 2θ = 27.1°, rel. 16
- 2θ = 29.9°, rel. 100
- 2θ = 34.5°, rel. 8
- 2θ = 37.7°, rel. 49
- 2θ = 38.1°, rel. 9
- 2θ = 53.0°, rel. 20
- 2θ = 55.8°, rel. 17
- 2θ = 58.3°, rel. 14
- 2θ = 62.1°, rel. 12
- 2θ = 66.9°, rel. 9
- 2θ = 86.0°, rel. 10



No. 9
For Pr5Nd4Sm3, the PBE geometry in Alexandria gives the calculated powder X-ray diffraction pattern in this record (a wavelength of 1.5418 Å).
Peak positions follow from Bragg's law for the DFT cell and can differ from measured ones.

Cell and atoms:
Cell lengths 6.379, 7.357, 9.032 Å; angles 89.99, 89.93, 89.95 degrees
Positions (direct):
Pr  0.000  0.000  0.000
Pr  0.332  0.500  0.666
Pr  0.499  0.749  0.000
Pr  0.501  0.251  0.000
Pr  0.668  0.500  0.334
Nd  0.166  0.250  0.334
Nd  0.334  0.000  0.666
Nd  0.666  0.000  0.334
Nd  0.834  0.750  0.666
Sm  0.000  0.500  0.000
Sm  0.166  0.750  0.334
Sm  0.834  0.250  0.666

Top 12 peaks for 10 to 90 degrees two-theta, low angle first:
- 2θ = 29.7°, rel. 100
- 2θ = 34.4°, rel. 51
- 2θ = 49.5°, rel. 30
- 2θ = 49.6°, rel. 6
- 2θ = 58.8°, rel. 25
- 2θ = 58.8°, rel. 18
- 2θ = 61.7°, rel. 9
- 2θ = 80.3°, rel. 6
- 2θ = 80.4°, rel. 10
- 2θ = 82.8°, rel. 4
- 2θ = 82.9°, rel. 8
- 2θ = 83.0°, rel. 4



No. 10
For PrNdSmTe3, the PBE geometry in Alexandria gives the calculated powder X-ray diffraction pattern in this record (a wavelength of 1.5418 Å).
Peak positions follow from Bragg's law for the DFT cell and can differ from measured ones.

Cell and atoms:
Cell lengths 8.637, 4.389, 11.058 Å; angles 90.00, 104.34, 90.00 degrees
Positions (direct):
Pr  0.188  0.250  0.217
Pr  0.812  0.750  0.783
Nd  0.157  0.250  0.618
Nd  0.843  0.750  0.382
Sm  0.332  0.750  0.911
Sm  0.668  0.250  0.089
Te  0.080  0.250  0.891
Te  0.230  0.750  0.442
Te  0.480  0.750  0.201
Te  0.520  0.250  0.799
Te  0.770  0.250  0.558
Te  0.920  0.750  0.109

Top 12 peaks for 10 to 90 degrees two-theta, low angle first:
- 2θ = 26.2°, rel. 24
- 2θ = 26.7°, rel. 28
- 2θ = 29.2°, rel. 50
- 2θ = 29.5°, rel. 100
- 2θ = 31.2°, rel. 33
- 2θ = 32.0°, rel. 62
- 2θ = 32.3°, rel. 21
- 2θ = 32.5°, rel. 32
- 2θ = 35.2°, rel. 26
- 2θ = 36.1°, rel. 21
- 2θ = 36.6°, rel. 38
- 2θ = 41.1°, rel. 48



No. 11
For PrNd2SmTh, the PBE geometry in Alexandria gives the calculated powder X-ray diffraction pattern in this record (a wavelength of 1.5418 Å).
Peak positions follow from Bragg's law for the DFT cell and can differ from measured ones.

Cell and atoms:
Cell lengths 6.478, 8.496, 6.680 Å; angles 90.00, 103.67, 90.00 degrees
Positions (direct):
Pr  0.000  0.093  0.250
Pr  0.000  0.907  0.750
Nd  0.217  0.328  0.662
Nd  0.217  0.672  0.162
Nd  0.783  0.328  0.838
Nd  0.783  0.672  0.338
Sm  0.500  0.339  0.250
Sm  0.500  0.661  0.750
Th  0.500  0.000  0.000
Th  0.500  0.000  0.500

Top 12 peaks for 10 to 90 degrees two-theta, low angle first:
- 2θ = 10.4°, rel. 24
- 2θ = 14.1°, rel. 24
- 2θ = 24.3°, rel. 25
- 2θ = 29.7°, rel. 82
- 2θ = 30.3°, rel. 100
- 2θ = 30.4°, rel. 52
- 2θ = 31.6°, rel. 50
- 2θ = 33.9°, rel. 25
- 2θ = 34.8°, rel. 43
- 2θ = 35.0°, rel. 42
- 2θ = 35.5°, rel. 50
- 2θ = 36.1°, rel. 24



No. 12
For PrNdSmTh, the PBE geometry in Alexandria gives the calculated powder X-ray diffraction pattern in this record (a wavelength of 1.5418 Å).
Peak positions follow from Bragg's law for the DFT cell and can differ from measured ones.

Cell and atoms:
Cell lengths 3.653, 3.653, 12.067 Å; angles 98.73, 98.73, 59.97 degrees
Positions (direct):
Pr  0.000  0.000  0.000
Nd  0.755  0.755  0.262
Sm  0.582  0.582  0.743
Th  0.168  0.168  0.503

Top 12 peaks for 10 to 90 degrees two-theta, low angle first:
- 2θ = 28.7°, rel. 36
- 2θ = 30.1°, rel. 45
- 2θ = 30.9°, rel. 100
- 2θ = 33.4°, rel. 71
- 2θ = 38.0°, rel. 24
- 2θ = 49.9°, rel. 35
- 2θ = 52.4°, rel. 26
- 2θ = 57.1°, rel. 12
- 2θ = 59.4°, rel. 41
- 2θ = 59.9°, rel. 15
- 2θ = 81.7°, rel. 13
- 2θ = 84.0°, rel. 14